# 1
Structure and simulated powder X-ray diffraction pattern of TeO3 (a structure optimized by DFT (PBE); Cu Ka).
Peak positions follow from Bragg's law for the DFT cell and can differ from measured ones.

Cell and atoms:
```
data_TeO3
_symmetry_space_group_name_H-M 'P n a 21'
_symmetry_Int_Tables_number 33
_cell_length_a 9.724
_cell_length_b 8.093
_cell_length_c 5.145
_cell_angle_alpha 90.00
_cell_angle_beta 90.00
_cell_angle_gamma 90.00
loop_
_symmetry_equiv_pos_as_xyz
'x,y,z'
'-x,-y,z+1/2'
'-x+1/2,y+1/2,z+1/2'
'x+1/2,-y+1/2,z'
loop_
_atom_site_label
_atom_site_type_symbol
_atom_site_fract_x
_atom_site_fract_y
_atom_site_fract_z
Te1 Te 0.090 0.120 0.000
Te2 Te 0.125 0.528 0.295
O1 O 0.001 0.069 0.331
O2 O 0.025 0.580 0.975
O3 O 0.068 0.751 0.401
O4 O 0.181 0.314 0.158
O5 O 0.207 0.142 0.679
O6 O 0.246 0.494 0.601
```

Main lines, low angle first (15° ≤ 2θ ≤ 90°):
index, Position (°2θ), I (rel.)
0 1 1, 20.5, 46
0 2 0, 22.0, 32
1 1 1, 22.4, 100
1 2 0, 23.8, 34
2 0 1, 25.2, 62
1 2 1, 29.5, 40
2 2 1, 33.7, 26
1 3 0, 34.5, 64
3 2 0, 35.5, 27
1 1 2, 37.8, 34
2 4 1, 52.1, 24
5 1 2, 60.8, 18

# 2
Structure and simulated powder X-ray diffraction pattern of TeO3 (a structure optimized by DFT (PBE); Cu Ka).
Peak positions follow from Bragg's law for the DFT cell and can differ from measured ones.

Cell and atoms:
```
data_TeO3
_symmetry_space_group_name_H-M 'P 63/m m c'
_symmetry_Int_Tables_number 194
_symmetry_space_group_name_Hall '-P 6c 2c'
_cell_length_a 3.7723
_cell_length_b 3.7723
_cell_length_c 11.7544
_cell_angle_alpha 90.00
_cell_angle_beta 90.00
_cell_angle_gamma 120.00
loop_
_atom_site_label
_atom_site_type_symbol
_atom_site_fract_x
_atom_site_fract_y
_atom_site_fract_z
Te1 Te 0.3333 0.6667 0.2500
O1 O 0.0000 0.0000 0.2500
O2 O 0.3333 0.6667 0.0973
```

Main lines, low angle first (15° ≤ 2θ ≤ 90°):
index, Position (°2θ), I (rel.)
0 0 2, 15.1, 82
1 0 0, 27.3, 14
1 0 1, 28.4, 100
0 0 4, 30.4, 12
1 0 3, 35.8, 22
1 0 5, 47.7, 18
1 1 0, 48.3, 21
1 1 2, 50.8, 21
2 0 1, 56.9, 13
1 1 4, 58.1, 11
1 0 7, 62.2, 11
1 1 6, 69.1, 12

# 3
Structure and simulated powder X-ray diffraction pattern of TeO3 (a structure optimized by DFT (PBE); Cu Ka).
Peak positions follow from Bragg's law for the DFT cell and can differ from measured ones.

Cell and atoms:
```
data_TeO3
_symmetry_space_group_name_H-M 'P 63 c m'
_symmetry_Int_Tables_number 185
_symmetry_space_group_name_Hall 'P 6c -2'
_cell_length_a 6.4744
_cell_length_b 6.4744
_cell_length_c 11.3470
_cell_angle_alpha 90.00
_cell_angle_beta 90.00
_cell_angle_gamma 120.00
loop_
_atom_site_label
_atom_site_type_symbol
_atom_site_fract_x
_atom_site_fract_y
_atom_site_fract_z
Te1 Te 0.0000 0.3305 0.0000
O1 O 0.0000 0.0000 0.4559
O2 O 0.0000 0.2686 0.1547
O3 O 0.0000 0.3862 0.8447
O4 O 0.3333 0.6667 0.0249
```

Main lines, low angle first (15° ≤ 2θ ≤ 90°):
index, Position (°2θ), I (rel.)
0 0 2, 15.6, 78
1 1 0, 27.6, 13
1 1 1, 28.7, 100
0 0 4, 31.5, 11
1 1 3, 36.5, 24
3 0 0, 48.7, 19
1 1 5, 49.0, 18
3 0 2, 51.5, 22
2 2 1, 57.5, 12
3 0 4, 59.2, 12
1 1 7, 64.3, 10
3 0 6, 70.9, 10

# 4
Structure and simulated powder X-ray diffraction pattern of TeO3 (a structure optimized by DFT (PBE); Cu Ka).
Peak positions follow from Bragg's law for the DFT cell and can differ from measured ones.

Cell and atoms:
```
data_TeO3
_symmetry_space_group_name_H-M 'P n n a'
_symmetry_Int_Tables_number 52
_cell_length_a 5.219
_cell_length_b 4.926
_cell_length_c 8.465
_cell_angle_alpha 90.00
_cell_angle_beta 90.00
_cell_angle_gamma 90.00
loop_
_symmetry_equiv_pos_as_xyz
'x,y,z'
'-x,-y,-z'
'-x+1/2,-y,z'
'x+1/2,y,-z'
'x,-y+1/2,-z+1/2'
'-x,y+1/2,z+1/2'
'-x+1/2,y+1/2,-z+1/2'
'x+1/2,-y+1/2,z+1/2'
loop_
_atom_site_label
_atom_site_type_symbol
_atom_site_fract_x
_atom_site_fract_y
_atom_site_fract_z
Te1 Te 0.250 0.000 0.093
O1 O 0.065 0.213 0.926
O2 O 0.111 0.250 0.250
```

Main lines, low angle first (15° ≤ 2θ ≤ 90°):
index, Position (°2θ), I (rel.)
1 0 1, 20.0, 48
0 1 1, 20.9, 100
0 0 2, 21.0, 11
1 1 2, 32.8, 64
2 0 0, 34.4, 11
1 0 3, 36.2, 19
2 1 1, 40.6, 30
1 1 4, 50.1, 12
2 2 0, 51.0, 15
1 2 3, 52.3, 27
3 1 2, 60.5, 12
1 3 2, 63.3, 11

# 5
Structure and simulated powder X-ray diffraction pattern of TeO3 (a structure optimized by DFT (PBE); Cu Ka).
Peak positions follow from Bragg's law for the DFT cell and can differ from measured ones.

Cell and atoms:
```
data_TeO3
_symmetry_space_group_name_H-M 'C 1 2/m 1'
_symmetry_Int_Tables_number 12
_cell_length_a 5.239
_cell_length_b 9.081
_cell_length_c 5.382
_cell_angle_alpha 90.00
_cell_angle_beta 105.16
_cell_angle_gamma 90.00
loop_
_symmetry_equiv_pos_as_xyz
'x,y,z'
'-x,-y,-z'
'-x,y,-z'
'x,-y,z'
'x+1/2,y+1/2,z'
'-x+1/2,-y+1/2,-z'
'-x+1/2,y+1/2,-z'
'x+1/2,-y+1/2,z'
loop_
_atom_site_label
_atom_site_type_symbol
_atom_site_fract_x
_atom_site_fract_y
_atom_site_fract_z
Te1 Te 0.000 0.167 0.000
O1 O 0.179 0.000 0.213
O2 O 0.246 0.311 0.213
```

Main lines, low angle first (15° ≤ 2θ ≤ 90°):
index, Position (°2θ), I (rel.)
0 0 1, 17.1, 100
0 2 0, 19.6, 19
1 1 0, 20.1, 35
1 1 -1, 23.3, 23
0 2 1, 26.1, 16
1 1 1, 29.4, 11
1 3 0, 34.5, 30
2 0 -1, 35.2, 14
1 3 1, 40.9, 34
2 0 -2, 42.9, 14
1 3 -2, 46.0, 10
1 3 2, 53.1, 12

# 6
Structure and simulated powder X-ray diffraction pattern of Te2O5 (a structure optimized by DFT (PBE); Cu Ka).
Peak positions follow from Bragg's law for the DFT cell and can differ from measured ones.

Cell and atoms:
```
data_Te2O5
_symmetry_space_group_name_H-M 'P 1 21 1'
_symmetry_Int_Tables_number 4
_cell_length_a 5.513
_cell_length_b 4.797
_cell_length_c 8.159
_cell_angle_alpha 90.00
_cell_angle_beta 102.84
_cell_angle_gamma 90.00
loop_
_symmetry_equiv_pos_as_xyz
'x,y,z'
'-x,y+1/2,-z'
loop_
_atom_site_label
_atom_site_type_symbol
_atom_site_fract_x
_atom_site_fract_y
_atom_site_fract_z
Te1 Te 0.130 0.000 0.373
Te2 Te 0.256 0.606 0.010
O1 O 0.035 0.340 0.098
O2 O 0.120 0.657 0.488
O3 O 0.175 0.415 0.792
O4 O 0.327 0.786 0.222
O5 O 0.469 0.850 0.907
```

Main lines, low angle first (15° ≤ 2θ ≤ 90°):
index, Position (°2θ), I (rel.)
1 0 0, 16.5, 23
0 1 1, 21.6, 23
1 0 1, 21.9, 31
0 0 2, 22.4, 18
1 1 0, 24.9, 19
1 1 -1, 25.7, 100
1 1 1, 28.8, 17
0 1 2, 29.2, 28
0 0 3, 33.8, 13
2 0 -2, 35.9, 18
1 1 2, 36.2, 28
1 1 -4, 49.0, 15